For K2FeC4O4, the GGA+U geometry in Alexandria gives the calculated powder XRD pattern in this record (Cu Kα).
No peak broadening, texture or thermal motion is included.

Most intense lines, 5° ≤ 2θ ≤ 70°, by angle:
2θ (°)  I/Imax  index
17.06  12  0 2 2
20.84  40  1 1 3
25.77  13  1 1 5
27.37  39  0 2 6
30.28  100  1 3 3
33.94  11  1 3 5
35.45  16  2 2 0
38.60  13  1 1 9
39.31  23  2 0 6
43.81  14  1 5 3

Cell lengths 5.633, 11.574, 23.657 Å; angles 90.00, 90.00, 90.00 degrees
Space group Fddd (No. 70, origin choice 2)
Unique sites:
K  0.125  0.125  0.302 x16
Fe  0.125  0.125  0.625 x8
C  0.072  0.303  0.831 x32
O  0.035  0.258  0.449 x32